Simulated powder XRD pattern
Compound: CrH8C4S4N6
Radiation: Cu Ka
Structure: the GGA-PBE geometry in Alexandria
Lines closer than 0.1° are merged.

The 6 most intense peaks (2θ from 10° to 90°), by angle:
two_theta	intensity	(hkl)
11.7	19	0 1 0
15.2	23	0 1 1
21.9	29	0 1 2
26.5	100	1 1 -1
26.7	20	1 1 0
31.9	26	1 -2 1

Structure:
Lattice parameters (Å, degrees): 4.1301 7.6375 10.3293 92.75 100.31 98.25
Positions (direct):
Cr 0.0000 0.0000 0.0000
H 0.3288 0.9161 0.2829
H 0.3307 0.4902 0.7023
H 0.3864 0.5233 0.8730
H 0.4824 0.2274 0.6089
H 0.5176 0.7726 0.3911
H 0.6136 0.4767 0.1270
H 0.6693 0.5098 0.2977
H 0.6712 0.0839 0.7171
C 0.0464 0.1774 0.2869
C 0.4613 0.7036 0.1921
C 0.5387 0.2964 0.8079
C 0.9536 0.8226 0.7131
S 0.0204 0.2867 0.4212
S 0.3452 0.7641 0.0331
S 0.6548 0.2359 0.9669
S 0.9796 0.7133 0.5788
N 0.0626 0.0960 0.1873
N 0.4051 0.4450 0.7926
N 0.4255 0.8016 0.2973
N 0.5745 0.1984 0.7027
N 0.5949 0.5550 0.2074
N 0.9374 0.9040 0.8127